Entry 1:
Computed X-ray diffraction stick pattern of LiDy2HoAu4 for copper Kα, from a GGA-PBE-relaxed structure.

Most intense lines, 10 to 90 degrees two-theta, by angle:
2theta  d/Å  I (rel.)
10.83  8.166  4
25.24  3.529  7
36.00  2.495  100
51.82  1.764  17
64.58  1.443  8
64.75  1.440  27
76.24  1.249  5
76.43  1.246  6
87.33  1.117  7
87.47  1.115  8

Structure:
```
data_LiDy2HoAu4
_chemical_formula_sum 'Li3 Dy6 Ho3 Au12'
_cell_length_a 4.9849
_cell_length_b 4.9849
_cell_length_c 24.4979
_cell_angle_alpha 90.00
_cell_angle_beta 90.00
_cell_angle_gamma 120.00
_space_group_name_H-M_alt 'R -3 m'
_space_group_IT_number 166
_space_group_name_Hall '-R 3 2"'
loop_
_atom_site_label
_atom_site_type_symbol
_atom_site_fract_x
_atom_site_fract_y
_atom_site_fract_z
Li1 Li 0.0000 0.0000 0.0000
Dy1 Dy 0.0000 0.0000 0.2561
Ho1 Ho 0.0000 0.0000 0.5000
Au1 Au 0.0000 0.0000 0.1291
Au2 Au 0.0000 0.0000 0.3781
```

***

Entry 2:
Computed X-ray diffraction stick pattern of Dy3AuI7 for copper Kα, from a GGA-PBE-relaxed structure.

Most intense lines, 10 to 90 degrees two-theta, by angle:
2theta  d/Å  I (rel.)
11.90  7.437  48
26.80  3.326  100
34.10  2.629  56
42.09  2.147  35
43.90  2.063  40
50.60  1.804  18
55.24  1.663  16
66.53  1.405  15
67.86  1.381  20
78.18  1.223  17

Structure:
```
data_Dy3AuI7
_chemical_formula_sum 'Dy3 Au1 I7'
_cell_length_a 8.5881
_cell_length_b 8.5881
_cell_length_c 7.4362
_cell_angle_alpha 90.00
_cell_angle_beta 90.00
_cell_angle_gamma 120.00
_space_group_name_H-M_alt 'P 3 m 1'
_space_group_IT_number 156
loop_
_space_group_symop_operation_xyz
'x,y,z'
'-y,x-y,z'
'-x+y,-x,z'
'-y,-x,z'
'-x+y,y,z'
'x,x-y,z'
loop_
_atom_site_label
_atom_site_type_symbol
_atom_site_fract_x
_atom_site_fract_y
_atom_site_fract_z
Dy1 Dy 0.0065 0.5033 0.0000
Au1 Au 0.3333 0.6667 0.2110
I1 I 0.1688 0.3375 0.7558
I2 I 0.3330 0.1665 0.2337
I3 I 0.6667 0.3333 0.7517
```

***

Entry 3:
Computed X-ray diffraction stick pattern of Dy2InAu4 for copper Kα, from a GGA-PBE-relaxed structure.

Most intense lines, 10 to 90 degrees two-theta, by angle:
2theta  d/Å  I (rel.)
22.26  3.994  6
25.76  3.459  10
36.75  2.446  100
52.94  1.729  18
66.15  1.413  27
66.28  1.410  9
78.09  1.224  6
78.23  1.222  6
89.58  1.094  9
89.68  1.093  8

Structure:
```
data_Dy2InAu4
_chemical_formula_sum 'Dy6 In3 Au12'
_cell_length_a 4.8953
_cell_length_b 4.8953
_cell_length_c 23.9265
_cell_angle_alpha 90.00
_cell_angle_beta 90.00
_cell_angle_gamma 120.00
_space_group_name_H-M_alt 'R -3 m'
_space_group_IT_number 166
_space_group_name_Hall '-R 3 2"'
loop_
_atom_site_label
_atom_site_type_symbol
_atom_site_fract_x
_atom_site_fract_y
_atom_site_fract_z
Dy1 Dy 0.0000 0.0000 0.2487
In1 In 0.0000 0.0000 0.0000
Au1 Au 0.0000 0.0000 0.1265
Au2 Au 0.0000 0.0000 0.3765
```

***

Entry 4:
Computed X-ray diffraction stick pattern of Dy6In5Au for copper Kα, from a GGA-PBE-relaxed structure.

Most intense lines, 10 to 90 degrees two-theta, by angle:
2theta  d/Å  I (rel.)
33.87  2.646  100
33.98  2.638  50
48.50  1.877  9
48.69  1.870  9
48.94  1.861  9
60.54  1.529  18
60.66  1.527  18
60.82  1.523  18
71.39  1.321  8
81.06  1.186  8

Structure:
```
data_Dy6In5Au
_chemical_formula_sum 'Dy6 In5 Au1'
_cell_length_a 5.271
_cell_length_b 7.508
_cell_length_c 8.339
_cell_angle_alpha 90.00
_cell_angle_beta 108.16
_cell_angle_gamma 90.00
_space_group_name_H-M_alt 'P 1 2/m 1'
_space_group_IT_number 10
loop_
_space_group_symop_operation_xyz
'x,y,z'
'-x,-y,-z'
'-x,y,-z'
'x,-y,z'
loop_
_atom_site_label
_atom_site_type_symbol
_atom_site_fract_x
_atom_site_fract_y
_atom_site_fract_z
Dy1 Dy 0.000 0.241 0.000
Dy2 Dy 0.338 0.246 0.676
In1 In 0.168 0.000 0.337
In2 In 0.169 0.500 0.338
In3 In 0.500 0.500 0.000
Au1 Au 0.500 0.000 0.000
```

***

Entry 5:
Computed X-ray diffraction stick pattern of Dy12Ir2Au5 for copper Kα, from a GGA-PBE-relaxed structure.

Most intense lines, 10 to 90 degrees two-theta, by angle:
2theta  d/Å  I (rel.)
20.68  4.295  56
22.67  3.922  75
31.15  2.871  77
31.32  2.856  100
32.97  2.717  61
34.30  2.614  78
39.23  2.296  75
42.04  2.149  41
42.66  2.120  48
48.32  1.883  48

Structure:
```
data_Dy12Ir2Au5
_chemical_formula_sum 'Dy24 Ir4 Au10'
_cell_length_a 16.250
_cell_length_b 7.534
_cell_length_c 9.188
_cell_angle_alpha 90.00
_cell_angle_beta 105.15
_cell_angle_gamma 90.00
_space_group_name_H-M_alt 'C 1 2/m 1'
_space_group_IT_number 12
loop_
_space_group_symop_operation_xyz
'x,y,z'
'-x,-y,-z'
'-x,y,-z'
'x,-y,z'
'x+1/2,y+1/2,z'
'-x+1/2,-y+1/2,-z'
'-x+1/2,y+1/2,-z'
'x+1/2,-y+1/2,z'
loop_
_atom_site_label
_atom_site_type_symbol
_atom_site_fract_x
_atom_site_fract_y
_atom_site_fract_z
Dy1 Dy 0.001 0.000 0.246
Dy2 Dy 0.022 0.500 0.821
Dy3 Dy 0.144 0.251 0.562
Dy4 Dy 0.172 0.235 0.102
Ir1 Ir 0.000 0.215 0.000
Au1 Au 0.000 0.500 0.500
Au2 Au 0.188 0.000 0.837
Au3 Au 0.208 0.000 0.367
```

***

Entry 6:
Computed X-ray diffraction stick pattern of Dy6IrAu5 for copper Kα, from a GGA-PBE-relaxed structure.

Most intense lines, 10 to 90 degrees two-theta, by angle:
2theta  d/Å  I (rel.)
35.52  2.527  100
35.66  2.518  20
51.04  1.789  7
51.20  1.784  14
63.75  1.460  21
63.82  1.459  7
63.98  1.455  15
75.19  1.264  11
85.90  1.131  7
86.16  1.129  6

Structure:
```
data_Dy6IrAu5
_chemical_formula_sum 'Dy12 Ir2 Au10'
_cell_length_a 5.035
_cell_length_b 15.172
_cell_length_c 7.158
_cell_angle_alpha 90.00
_cell_angle_beta 90.00
_cell_angle_gamma 90.00
_space_group_name_H-M_alt 'C m m m'
_space_group_IT_number 65
_space_group_name_Hall '-C 2 2'
loop_
_atom_site_label
_atom_site_type_symbol
_atom_site_fract_x
_atom_site_fract_y
_atom_site_fract_z
Dy1 Dy 0.000 0.000 0.239
Dy2 Dy 0.000 0.339 0.246
Ir1 Ir 0.000 0.500 0.000
Au1 Au 0.000 0.166 0.500
Au2 Au 0.000 0.173 0.000
Au3 Au 0.000 0.500 0.500
```

***

Entry 7:
Computed X-ray diffraction stick pattern of PmDyIrAu for copper Kα, from a GGA-PBE-relaxed structure.

Most intense lines, 10 to 90 degrees two-theta, by angle:
2theta  d/Å  I (rel.)
25.03  3.558  2
35.69  2.516  100
44.09  2.054  1
51.36  1.779  18
57.96  1.591  1
64.12  1.452  37
75.60  1.258  12
86.51  1.125  17

Structure:
```
data_PmDyIrAu
_chemical_formula_sum 'Pm4 Dy4 Ir4 Au4'
_cell_length_a 7.115
_cell_length_b 7.115
_cell_length_c 7.115
_cell_angle_alpha 90.00
_cell_angle_beta 90.00
_cell_angle_gamma 90.00
_space_group_name_H-M_alt 'F -4 3 m'
_space_group_IT_number 216
_space_group_name_Hall 'F -4 2 3'
loop_
_atom_site_label
_atom_site_type_symbol
_atom_site_fract_x
_atom_site_fract_y
_atom_site_fract_z
Pm1 Pm 0.000 0.000 0.000
Dy1 Dy 0.000 0.000 0.500
Ir1 Ir 0.250 0.250 0.250
Au1 Au 0.250 0.250 0.750
```

***

Entry 8:
Computed X-ray diffraction stick pattern of K2Dy2AuO6 for copper Kα, from a GGA-PBE-relaxed structure.

Most intense lines, 10 to 90 degrees two-theta, by angle:
2theta  d/Å  I (rel.)
13.87  6.383  100
27.96  3.192  25
30.59  2.922  24
31.67  2.825  16
31.92  2.803  31
35.46  2.532  43
36.60  2.455  19
44.77  2.024  13
49.49  1.842  14
54.19  1.693  12

Structure:
```
data_K2Dy2AuO6
_chemical_formula_sum 'K4 Dy4 Au2 O12'
_cell_length_a 5.850
_cell_length_b 10.244
_cell_length_c 6.609
_cell_angle_alpha 90.00
_cell_angle_beta 105.04
_cell_angle_gamma 90.00
_space_group_name_H-M_alt 'C 1 2/m 1'
_space_group_IT_number 12
loop_
_space_group_symop_operation_xyz
'x,y,z'
'-x,-y,-z'
'-x,y,-z'
'x,-y,z'
'x+1/2,y+1/2,z'
'-x+1/2,-y+1/2,-z'
'-x+1/2,y+1/2,-z'
'x+1/2,-y+1/2,z'
loop_
_atom_site_label
_atom_site_type_symbol
_atom_site_fract_x
_atom_site_fract_y
_atom_site_fract_z
K1 K 0.000 0.159 0.000
Dy1 Dy 0.000 0.334 0.500
Au1 Au 0.000 0.000 0.500
O1 O 0.218 0.169 0.683
O2 O 0.248 0.500 0.669
```

***

Entry 9:
Computed X-ray diffraction stick pattern of KDyAuO2 for copper Kα, from a GGA-PBE-relaxed structure.

Most intense lines, 10 to 90 degrees two-theta, by angle:
2theta  d/Å  I (rel.)
13.33  6.641  100
26.85  3.321  26
32.23  2.778  28
32.87  2.725  12
33.97  2.639  23
35.61  2.521  28
36.04  2.492  21
40.63  2.220  19
42.93  2.107  11
44.16  2.051  16

Structure:
```
data_KDyAuO2
_chemical_formula_sum 'K2 Dy2 Au2 O4'
_cell_length_a 6.671
_cell_length_b 5.450
_cell_length_c 6.485
_cell_angle_alpha 90.00
_cell_angle_beta 95.38
_cell_angle_gamma 90.00
_space_group_name_H-M_alt 'P 1 2/c 1'
_space_group_IT_number 13
loop_
_space_group_symop_operation_xyz
'x,y,z'
'-x,-y,-z'
'-x,y,-z+1/2'
'x,-y,z+1/2'
loop_
_atom_site_label
_atom_site_type_symbol
_atom_site_fract_x
_atom_site_fract_y
_atom_site_fract_z
K1 K 0.000 0.204 0.250
Dy1 Dy 0.500 0.019 0.750
Au1 Au 0.500 0.500 0.000
O1 O 0.294 0.111 0.989
```

***

Entry 10:
Computed X-ray diffraction stick pattern of KDyTe2Au for copper Kα, from a GGA-PBE-relaxed structure.

Most intense lines, 10 to 90 degrees two-theta, by angle:
2theta  d/Å  I (rel.)
10.54  8.393  100
24.27  3.667  17
28.17  3.168  19
29.31  3.047  24
31.05  2.880  36
34.00  2.636  32
37.02  2.428  25
38.70  2.327  13
41.21  2.190  16
43.12  2.098  28

Structure:
```
data_KDyTe2Au
_chemical_formula_sum 'K2 Dy2 Te4 Au2'
_cell_length_a 8.447
_cell_length_b 4.843
_cell_length_c 8.408
_cell_angle_alpha 90.00
_cell_angle_beta 96.47
_cell_angle_gamma 90.00
_space_group_name_H-M_alt 'P 1 2/c 1'
_space_group_IT_number 13
loop_
_space_group_symop_operation_xyz
'x,y,z'
'-x,-y,-z'
'-x,y,-z+1/2'
'x,-y,z+1/2'
loop_
_atom_site_label
_atom_site_type_symbol
_atom_site_fract_x
_atom_site_fract_y
_atom_site_fract_z
K1 K 0.000 0.121 0.250
Dy1 Dy 0.500 0.496 0.750
Te1 Te 0.247 0.357 0.973
Au1 Au 0.500 0.000 0.000
```

***

Entry 11:
Computed X-ray diffraction stick pattern of LaDyAu for copper Kα, from a GGA-PBE-relaxed structure.

Most intense lines, 10 to 90 degrees two-theta, by angle:
2theta  d/Å  I (rel.)
27.77  3.213  22
29.93  2.985  100
31.34  2.854  73
32.94  2.719  36
33.92  2.643  36
35.76  2.511  57
38.95  2.312  36
40.38  2.234  29
49.41  1.845  25
53.90  1.701  29

Structure:
```
data_LaDyAu
_chemical_formula_sum 'La6 Dy6 Au6'
_cell_length_a 5.022
_cell_length_b 12.432
_cell_length_c 8.359
_cell_angle_alpha 90.00
_cell_angle_beta 90.00
_cell_angle_gamma 90.00
_space_group_name_H-M_alt 'A m m 2'
_space_group_IT_number 38
loop_
_space_group_symop_operation_xyz
'x,y,z'
'-x,-y,z'
'-x,y,z'
'x,-y,z'
'x,y+1/2,z+1/2'
'-x,-y+1/2,z+1/2'
'-x,y+1/2,z+1/2'
'x,-y+1/2,z+1/2'
loop_
_atom_site_label
_atom_site_type_symbol
_atom_site_fract_x
_atom_site_fract_y
_atom_site_fract_z
La1 La 0.000 0.000 0.000
La2 La 0.000 0.194 0.396
Dy1 Dy 0.500 0.000 0.318
Dy2 Dy 0.500 0.136 0.709
Au1 Au 0.000 0.000 0.626
Au2 Au 0.500 0.160 0.058
```

***

Entry 12:
Computed X-ray diffraction stick pattern of Li3Dy2Au4 for copper Kα, from a GGA-PBE-relaxed structure.

Most intense lines, 10 to 90 degrees two-theta, by angle:
2theta  d/Å  I (rel.)
25.57  3.484  55
25.96  3.432  49
32.76  2.734  31
33.14  2.703  30
35.14  2.554  100
36.38  2.470  45
37.14  2.421  18
38.72  2.325  55
53.01  1.727  17
57.81  1.595  24

Structure:
```
data_Li3Dy2Au4
_chemical_formula_sum 'Li12 Dy8 Au16'
_cell_length_a 5.781
_cell_length_b 15.273
_cell_length_c 7.830
_cell_angle_alpha 90.00
_cell_angle_beta 90.00
_cell_angle_gamma 90.00
_space_group_name_H-M_alt 'C m c e'
_space_group_IT_number 64
_space_group_name_Hall '-C 2ac 2'
loop_
_atom_site_label
_atom_site_type_symbol
_atom_site_fract_x
_atom_site_fract_y
_atom_site_fract_z
Li1 Li 0.000 0.000 0.000
Li2 Li 0.250 0.215 0.250
Dy1 Dy 0.000 0.114 0.587
Au1 Au 0.000 0.184 0.958
Au2 Au 0.250 0.047 0.250
```

***

Number 9 is which compound? KDyAuO2